1.
For Be5Au, the GGA-PBE geometry in the Materials Project gives the simulated powder XRD pattern in this record (CuKα).
No peak broadening, texture or thermal motion is included.

Cell and atoms:
```
Be5Au
1.0
0.000 3.060 3.060
3.060 0.000 3.060
3.060 3.060 0.000
Be Au
5 1
direct
0.000 0.000 0.000
0.375 0.375 0.375
0.375 0.375 0.876
0.375 0.876 0.375
0.876 0.375 0.375
0.750 0.750 0.750
```

The 10 most intense peaks (10 to 90 degrees two-theta), sorted by position:
Position (°2θ)  d (Å)  Rel. int.
25.2  3.533  100
29.2  3.060  54
41.7  2.164  48
49.4  1.845  61
51.7  1.767  16
60.5  1.530  6
66.6  1.404  21
68.6  1.368  20
76.2  1.249  17
81.8  1.178  20


2.
For Be2RhAu, the GGA-PBE geometry in the Materials Project gives the simulated powder XRD pattern in this record (CuKα).
No peak broadening, texture or thermal motion is included.

Cell and atoms:
```
Be2RhAu
1.0
5.731 0.000 0.000
0.000 5.731 0.000
0.000 0.000 5.731
Be Rh Au
8 4 4
direct
0.250 0.250 0.250
0.250 0.250 0.750
0.250 0.750 0.250
0.250 0.750 0.750
0.750 0.250 0.250
0.750 0.250 0.750
0.750 0.750 0.250
0.750 0.750 0.750
0.000 0.000 0.000
0.000 0.500 0.500
0.500 0.000 0.500
0.500 0.500 0.000
0.000 0.000 0.500
0.000 0.500 0.000
0.500 0.000 0.000
0.500 0.500 0.500
```

The 10 most intense peaks (10 to 90 degrees two-theta), sorted by position:
Position (°2θ)  d (Å)  Rel. int.
26.9  3.309  19
31.2  2.865  100
44.7  2.026  88
53.0  1.728  10
55.6  1.654  27
65.1  1.433  14
71.8  1.315  4
74.0  1.281  34
82.5  1.170  30
88.7  1.103  4


3.
For BiAu, the GGA-PBE geometry in the Materials Project gives the simulated powder XRD pattern in this record (CuKα).
No peak broadening, texture or thermal motion is included.

Cell and atoms:
```
BiAu
1.0
4.446 0.000 0.000
0.000 4.402 0.000
-0.166 0.000 5.704
Bi Au
2 2
direct
0.000 0.000 0.000
0.500 0.500 0.000
0.000 0.000 0.500
0.500 0.500 0.500
```

The 10 most intense peaks (10 to 90 degrees two-theta), sorted by position:
Position (°2θ)  d (Å)  Rel. int.
28.5  3.128  100
31.4  2.852  39
40.6  2.222  20
41.0  2.201  19
42.5  2.129  35
43.4  2.086  33
51.4  1.778  10
52.5  1.742  19
59.1  1.564  13
76.4  1.247  13


4.
For BiAu2, the GGA-PBE geometry in the Materials Project gives the simulated powder XRD pattern in this record (CuKα).
No peak broadening, texture or thermal motion is included.

Cell and atoms:
```
BiAu2
1.0
0.000 4.049 4.049
4.049 0.000 4.049
4.049 4.049 0.000
Bi Au
2 4
direct
0.125 0.125 0.125
0.875 0.875 0.875
0.000 0.500 0.500
0.500 0.000 0.500
0.500 0.500 0.000
0.500 0.500 0.500
```

The 10 most intense peaks (10 to 90 degrees two-theta), sorted by position:
Position (°2θ)  d (Å)  Rel. int.
31.2  2.863  28
36.8  2.442  100
38.5  2.338  39
44.8  2.024  4
55.6  1.653  11
59.3  1.558  34
65.2  1.432  30
74.0  1.280  5
77.3  1.235  12
78.3  1.221  15


5.
For BiAuBr6, the GGA-PBE geometry in the Materials Project gives the simulated powder XRD pattern in this record (CuKα).
No peak broadening, texture or thermal motion is included.

Cell and atoms:
```
BiAuBr6
1.0
8.158 0.000 0.000
-4.000 9.894 0.000
-1.503 -4.554 14.375
Bi Au Br
4 4 24
direct
0.028 0.186 0.127
0.399 0.571 0.380
0.601 0.429 0.620
0.972 0.814 0.873
0.000 0.500 0.000
0.295 0.129 0.765
0.500 0.000 0.500
0.705 0.871 0.235
0.024 0.968 0.221
0.038 0.447 0.277
0.220 0.398 0.030
0.232 0.777 0.477
0.237 0.699 0.966
0.244 0.065 0.026
0.265 0.451 0.517
0.266 0.340 0.740
0.306 0.130 0.494
0.321 0.915 0.788
0.387 0.314 0.256
0.387 0.771 0.251
0.613 0.229 0.749
0.613 0.686 0.744
0.679 0.085 0.212
0.694 0.870 0.506
0.734 0.660 0.260
0.735 0.549 0.483
0.756 0.935 0.974
0.763 0.301 0.034
0.768 0.223 0.523
0.780 0.602 0.970
0.962 0.553 0.723
0.976 0.032 0.779
```

The 10 most intense peaks (10 to 90 degrees two-theta), sorted by position:
Position (°2θ)  d (Å)  Rel. int.
12.3  7.223  78
13.1  6.735  79
13.4  6.591  63
14.6  6.074  100
17.6  5.031  62
23.2  3.830  75
24.8  3.594  61
30.1  2.972  57
35.0  2.561  57
35.8  2.506  43


6.
For K2BiAuBr6, the GGA-PBE geometry in the Materials Project gives the simulated powder XRD pattern in this record (CuKα).
No peak broadening, texture or thermal motion is included.

Cell and atoms:
```
K2BiAuBr6
1.0
0.000 5.673 5.673
5.673 0.000 5.673
5.673 5.673 0.000
K Bi Au Br
2 1 1 6
direct
0.250 0.250 0.250
0.750 0.750 0.750
0.000 0.000 0.000
0.500 0.500 0.500
0.253 0.253 0.747
0.253 0.747 0.253
0.253 0.747 0.747
0.747 0.253 0.253
0.747 0.253 0.747
0.747 0.747 0.253
```

The 10 most intense peaks (10 to 90 degrees two-theta), sorted by position:
Position (°2θ)  d (Å)  Rel. int.
15.6  5.673  100
22.2  4.011  40
31.5  2.837  78
35.4  2.537  57
38.9  2.316  19
45.2  2.006  56
48.1  1.891  30
56.2  1.638  20
74.8  1.269  25
83.5  1.158  19


7.
For Rb2BiAuBr6, the GGA-PBE geometry in the Materials Project gives the simulated powder XRD pattern in this record (CuKα).
No peak broadening, texture or thermal motion is included.

Cell and atoms:
```
Rb2BiAuBr6
1.0
0.000 5.697 5.697
5.697 0.000 5.697
5.697 5.697 0.000
Rb Bi Au Br
2 1 1 6
direct
0.250 0.250 0.250
0.750 0.750 0.750
0.000 0.000 0.000
0.500 0.500 0.500
0.253 0.253 0.747
0.253 0.747 0.253
0.253 0.747 0.747
0.747 0.253 0.253
0.747 0.253 0.747
0.747 0.747 0.253
```

The 10 most intense peaks (10 to 90 degrees two-theta), sorted by position:
Position (°2θ)  d (Å)  Rel. int.
15.6  5.697  71
22.1  4.028  70
31.4  2.848  100
35.2  2.548  40
38.7  2.326  34
45.0  2.014  73
47.9  1.899  22
55.9  1.645  26
74.5  1.274  33
83.0  1.163  25


8.
For CaBiAu4, the GGA-PBE geometry in the Materials Project gives the simulated powder XRD pattern in this record (CuKα).
No peak broadening, texture or thermal motion is included.

Cell and atoms:
```
CaBiAu4
1.0
0.000 4.040 4.040
4.040 0.000 4.040
4.040 4.040 0.000
Ca Bi Au
1 1 4
direct
0.000 0.000 0.000
0.250 0.250 0.250
0.124 0.625 0.625
0.625 0.124 0.625
0.625 0.625 0.124
0.625 0.625 0.625
```

The 10 most intense peaks (10 to 90 degrees two-theta), sorted by position:
Position (°2θ)  d (Å)  Rel. int.
19.0  4.665  30
31.3  2.857  14
36.9  2.436  100
38.6  2.333  57
44.9  2.020  13
49.1  1.854  8
59.4  1.555  34
65.3  1.428  31
77.5  1.232  12
78.5  1.218  23


9.
For BiAuCl6, the GGA-PBE geometry in the Materials Project gives the simulated powder XRD pattern in this record (CuKα).
No peak broadening, texture or thermal motion is included.

Cell and atoms:
```
BiAuCl6
1.0
7.692 0.000 0.000
-3.783 9.443 0.000
-1.571 -4.343 13.581
Bi Au Cl
4 4 24
direct
0.032 0.185 0.128
0.404 0.569 0.379
0.596 0.431 0.621
0.968 0.815 0.872
0.000 0.500 0.000
0.294 0.131 0.766
0.500 0.000 0.500
0.706 0.869 0.234
0.024 0.962 0.218
0.043 0.445 0.275
0.224 0.405 0.033
0.231 0.700 0.970
0.241 0.776 0.478
0.243 0.066 0.025
0.266 0.451 0.514
0.272 0.342 0.743
0.297 0.120 0.497
0.314 0.917 0.787
0.387 0.311 0.259
0.391 0.776 0.250
0.609 0.224 0.750
0.613 0.689 0.741
0.686 0.083 0.213
0.703 0.880 0.503
0.728 0.658 0.257
0.734 0.549 0.486
0.757 0.934 0.975
0.759 0.224 0.522
0.769 0.300 0.030
0.776 0.595 0.967
0.957 0.555 0.725
0.976 0.038 0.782
```

The 10 most intense peaks (10 to 90 degrees two-theta), sorted by position:
Position (°2θ)  d (Å)  Rel. int.
12.9  6.840  78
14.0  6.337  81
14.2  6.257  67
15.5  5.707  100
18.2  4.873  31
18.6  4.768  51
23.2  3.826  44
24.6  3.625  92
38.0  2.369  35
38.8  2.319  30


10.
For K2BiAuCl6, the GGA-PBE geometry in the Materials Project gives the simulated powder XRD pattern in this record (CuKα).
No peak broadening, texture or thermal motion is included.

Cell and atoms:
```
K2BiAuCl6
1.0
0.000 5.413 5.413
5.413 0.000 5.413
5.413 5.413 0.000
K Bi Au Cl
2 1 1 6
direct
0.250 0.250 0.250
0.750 0.750 0.750
0.000 0.000 0.000
0.500 0.500 0.500
0.251 0.251 0.749
0.251 0.749 0.251
0.251 0.749 0.749
0.749 0.251 0.251
0.749 0.251 0.749
0.749 0.749 0.251
```

The 10 most intense peaks (10 to 90 degrees two-theta), sorted by position:
Position (°2θ)  d (Å)  Rel. int.
16.4  5.413  100
23.2  3.827  98
33.1  2.706  59
37.1  2.421  55
40.8  2.210  47
47.5  1.914  41
50.6  1.804  29
53.5  1.712  22
64.4  1.447  25
79.1  1.210  18


11.
For Cs2BiAuI6, the GGA-PBE geometry in the Materials Project gives the simulated powder XRD pattern in this record (CuKα).
No peak broadening, texture or thermal motion is included.

Cell and atoms:
```
Cs2BiAuI6
1.0
0.000 6.098 6.098
6.098 0.000 6.098
6.098 6.098 0.000
Cs Bi Au I
2 1 1 6
direct
0.250 0.250 0.250
0.750 0.750 0.750
0.000 0.000 0.000
0.500 0.500 0.500
0.255 0.255 0.745
0.255 0.745 0.255
0.255 0.745 0.745
0.745 0.255 0.255
0.745 0.255 0.745
0.745 0.745 0.255
```

The 10 most intense peaks (10 to 90 degrees two-theta), sorted by position:
Position (°2θ)  d (Å)  Rel. int.
14.5  6.098  40
20.6  4.312  40
25.3  3.521  37
29.3  3.049  100
32.8  2.727  23
36.1  2.489  20
41.9  2.156  75
51.9  1.760  27
68.9  1.364  34
76.5  1.245  26


12.
For Er5BiAu2, the GGA-PBE geometry in the Materials Project gives the simulated powder XRD pattern in this record (CuKα).
No peak broadening, texture or thermal motion is included.

Cell and atoms:
```
Er5BiAu2
1.0
-3.698 3.698 8.673
3.698 -3.698 8.673
3.698 3.698 -8.673
Er Bi Au
10 2 4
direct
0.000 0.000 0.000
0.000 0.500 0.172
0.000 0.500 0.828
0.172 0.000 0.500
0.328 0.828 0.828
0.500 0.328 0.500
0.500 0.500 0.000
0.500 0.672 0.500
0.672 0.172 0.172
0.828 0.000 0.500
0.250 0.250 0.000
0.750 0.750 0.000
0.128 0.628 0.757
0.372 0.128 0.500
0.628 0.872 0.500
0.872 0.372 0.243
```

The 10 most intense peaks (10 to 90 degrees two-theta), sorted by position:
Position (°2θ)  d (Å)  Rel. int.
27.5  3.249  100
30.9  2.891  32
31.8  2.814  32
37.6  2.394  38
38.5  2.339  59
44.0  2.058  15
45.8  1.983  29
50.2  1.818  17
62.2  1.493  15
77.7  1.230  16


13.
For Er5BiAu2, the GGA-PBE geometry in the Materials Project gives the simulated powder XRD pattern in this record (CuKα).
No peak broadening, texture or thermal motion is included.

Cell and atoms:
```
Er5BiAu2
1.0
-4.048 4.048 6.502
4.048 -4.048 6.502
4.048 4.048 -6.502
Er Bi Au
10 2 4
direct
0.000 0.000 0.000
0.014 0.514 0.809
0.205 0.014 0.500
0.295 0.795 0.809
0.486 0.295 0.500
0.500 0.500 0.000
0.514 0.705 0.500
0.705 0.205 0.191
0.795 0.986 0.500
0.986 0.486 0.191
0.250 0.250 0.000
0.750 0.750 0.000
0.139 0.361 0.500
0.361 0.861 0.222
0.639 0.139 0.778
0.861 0.639 0.500
```

The 10 most intense peaks (10 to 90 degrees two-theta), sorted by position:
Position (°2θ)  d (Å)  Rel. int.
31.3  2.862  11
31.6  2.827  15
32.2  2.779  100
35.1  2.560  66
35.4  2.535  19
42.8  2.112  17
50.4  1.810  10
65.2  1.432  13
65.7  1.420  19
68.4  1.372  15